[1]
Structure and theoretical powder diffraction line list of BrF3 (a crystal structure in the Materials Project, relaxed with GGA-PBE; Cu Ka).
Kinematic intensities with the Lorentz-polarization factor, no thermal factor.

Peak list (10 most intense, 10 to 90 degrees two-theta, sorted by position)
- 2θ 19.04, intensity 34, hkl 1 1 0
- 2θ 23.85, intensity 100, hkl 1 1 1
- 2θ 26.91, intensity 18, hkl 0 2 1
- 2θ 30.82, intensity 47, hkl 2 0 0
- 2θ 34.64, intensity 15, hkl 1 1 2
- 2θ 47.97, intensity 15, hkl 1 1 3
- 2θ 48.13, intensity 20, hkl 1 3 2
- 2θ 49.71, intensity 12, hkl 0 2 3
- 2θ 50.79, intensity 12, hkl 3 1 1
- 2θ 59.65, intensity 13, hkl 2 2 3

a = 5.8016 Å, b = 7.8244 Å, c = 6.2288 Å
α = 90.00°, β = 90.00°, γ = 90.00°
Space group Cmc2_1 (No. 36)
Asymmetric unit:
Br1 0.0000 0.1602 0.0000 (multiplicity 4)
F1 0.0000 0.0676 0.3330 (multiplicity 4)
F2 0.0000 0.2624 0.7411 (multiplicity 4)
F3 0.0000 0.3701 0.1248 (multiplicity 4)



[2]
Structure and theoretical powder diffraction line list of KBrF4 (a crystal structure in the Materials Project, relaxed with GGA-PBE; Cu Ka).
Kinematic intensities with the Lorentz-polarization factor, no thermal factor.

Peak list (10 most intense, 10 to 90 degrees two-theta, sorted by position)
- 2θ 20.74, intensity 24, hkl 1 1 0
- 2θ 25.16, intensity 100, hkl 1 1 2
- 2θ 29.49, intensity 20, hkl 2 0 0
- 2θ 33.85, intensity 11, hkl 2 1 1
- 2θ 41.41, intensity 36, hkl 2 0 4
- 2θ 42.20, intensity 13, hkl 2 2 0
- 2θ 48.37, intensity 15, hkl 1 1 6
- 2θ 49.77, intensity 28, hkl 3 1 2
- 2θ 51.66, intensity 11, hkl 2 2 4
- 2θ 66.11, intensity 12, hkl 3 1 6

a = 6.0569 Å, b = 6.0569 Å, c = 12.5671 Å
α = 90.00°, β = 90.00°, γ = 90.00°
Space group I4/mcm (No. 140)
Asymmetric unit:
K1 0.0000 0.0000 0.0000 (multiplicity 4)
Br1 0.0000 0.5000 0.2500 (multiplicity 4)
F1 0.1518 0.3482 0.1249 (multiplicity 16)



[3]
Structure and theoretical powder diffraction line list of KBrF4 (a crystal structure in the Materials Project, relaxed with GGA-PBE; Cu Ka).
Kinematic intensities with the Lorentz-polarization factor, no thermal factor.

Peak list (10 most intense, 10 to 90 degrees two-theta, sorted by position)
- 2θ 19.93, intensity 26, hkl 1 1 0
- 2θ 25.47, intensity 100, hkl 1 1 2
- 2θ 28.33, intensity 22, hkl 2 0 0
- 2θ 32.75, intensity 13, hkl 2 1 1
- 2θ 40.49, intensity 16, hkl 2 2 0
- 2θ 43.03, intensity 33, hkl 2 0 4
- 2θ 48.44, intensity 30, hkl 3 1 2
- 2θ 52.32, intensity 10, hkl 2 2 4
- 2θ 52.82, intensity 11, hkl 1 1 6
- 2θ 68.61, intensity 13, hkl 3 1 6

a = 6.3015 Å, b = 6.3015 Å, c = 11.2882 Å
α = 90.00°, β = 90.00°, γ = 90.00°
Space group I4/mcm (No. 140)
Asymmetric unit:
K1 0.0000 0.0000 0.2500 (multiplicity 4)
Br1 0.0000 0.5000 0.0000 (multiplicity 4)
F1 0.1538 0.3462 0.1215 (multiplicity 16)



[4]
Structure and theoretical powder diffraction line list of NaBrF4 (a crystal structure in the Materials Project, relaxed with GGA-PBE; Cu Ka).
Kinematic intensities with the Lorentz-polarization factor, no thermal factor.

Peak list (10 most intense, 10 to 90 degrees two-theta, sorted by position)
- 2θ 16.74, intensity 20, hkl 0 0 2
- 2θ 21.49, intensity 52, hkl 1 1 0
- 2θ 27.36, intensity 100, hkl 1 1 2
- 2θ 30.58, intensity 16, hkl 2 0 0
- 2θ 35.06, intensity 17, hkl 2 0 2
- 2θ 35.36, intensity 15, hkl 2 1 1
- 2θ 43.79, intensity 19, hkl 2 2 0
- 2θ 46.25, intensity 41, hkl 2 0 4
- 2θ 52.41, intensity 33, hkl 3 1 2
- 2θ 61.13, intensity 15, hkl 3 1 4

a = 5.8470 Å, b = 5.8470 Å, c = 10.5941 Å
α = 90.00°, β = 90.00°, γ = 90.00°
Space group I4/mcm (No. 140)
Asymmetric unit:
Na1 0.0000 0.0000 0.2500 (multiplicity 4)
Br1 0.0000 0.5000 0.0000 (multiplicity 4)
F1 0.1644 0.3356 0.1303 (multiplicity 16)